# U3In
Theoretical powder XRD pattern, CuKα. Input: a cell relaxed with PBE.
Lines closer than 0.1° are merged.

Crystal structure
```
U3In
1.0
4.466 0.000 0.000
0.000 4.466 0.000
0.000 0.000 4.466
U In
3 1
Cartesian
0.000 0.000 2.233
0.000 2.233 0.000
2.233 0.000 0.000
2.233 2.233 2.233
```

Largest 8 diffraction maxima, by angle, 15° ≤ 2θ ≤ 90°:
2θ (°)  Rel. int.
19.9  5
28.3  5
34.8  100
40.4  50
58.4  35
69.8  42
73.4  12
87.3  6

# Zn2Ag2O5
Theoretical powder XRD pattern, CuKα. Input: a cell relaxed with PBE.
Lines closer than 0.1° are merged.

Crystal structure
```
Zn2Ag2O5
1.0
3.677 0.000 0.000
0.000 10.933 0.000
0.000 0.000 6.333
Zn Ag O
4 4 10
Cartesian
0.000 1.547 0.000
0.000 3.481 2.016
0.000 7.452 5.183
0.000 9.386 3.166
1.839 1.055 3.302
1.839 4.523 5.787
1.839 6.410 2.621
1.839 9.878 0.136
0.000 1.513 2.062
0.000 3.610 0.079
0.000 7.323 3.245
0.000 9.420 5.229
1.839 0.928 5.751
1.839 3.052 3.950
1.839 3.945 2.784
1.839 6.988 5.950
1.839 7.881 0.784
1.839 10.005 2.585
```

Largest 8 diffraction maxima, by angle, 15° ≤ 2θ ≤ 90°:
2θ (°)  Rel. int.
28.2  54
29.3  75
32.6  100
32.8  35
35.8  31
43.7  33
49.6  26
50.6  26

# CuSN4O5
Theoretical powder XRD pattern, CuKα. Input: a cell relaxed with PBE.
Lines closer than 0.1° are merged.

Crystal structure
```
CuSN4O5
1.0
10.026 0.000 0.000
0.000 7.647 0.000
0.000 0.000 10.598
Cu S N O
4 4 16 20
Cartesian
0.514 1.912 0.939
4.499 5.735 6.238
5.527 1.912 4.361
9.512 5.735 9.660
2.166 5.735 0.795
2.847 1.912 6.094
7.179 5.735 4.504
7.860 1.912 9.803
0.019 4.043 3.266
0.019 7.428 3.266
0.208 4.217 8.234
0.208 7.254 8.234
4.805 0.393 2.935
4.805 3.430 2.935
4.994 0.219 8.565
4.994 3.604 8.565
5.032 4.043 2.033
5.032 7.428 2.033
5.221 4.217 7.664
5.221 7.254 7.664
9.818 0.393 2.364
9.818 3.430 2.364
10.007 0.219 7.332
10.007 3.604 7.332
0.651 5.735 0.497
2.144 1.912 1.549
2.258 0.697 5.504
2.258 3.126 5.504
2.287 5.735 2.258
2.726 1.912 7.557
2.755 4.521 0.205
2.755 6.950 0.205
2.869 5.735 6.849
4.362 1.912 5.796
5.664 5.735 4.802
7.157 1.912 3.750
7.271 0.697 10.393
7.271 3.126 10.393
7.300 5.735 3.041
7.739 1.912 8.340
7.768 4.521 5.094
7.768 6.950 5.094
7.882 5.735 9.049
9.375 1.912 10.101
```

Largest 8 diffraction maxima, by angle, 15° ≤ 2θ ≤ 90°:
2θ (°)  Rel. int.
16.8  48
18.9  100
22.3  55
22.8  46
26.3  100
30.2  46
30.4  41
34.0  48

# GdErAl6
Theoretical powder XRD pattern, CuKα. Input: a cell relaxed with PBE.
Lines closer than 0.1° are merged.

Crystal structure
```
GdErAl6
1.0
3.099 1.789 14.133
-3.099 1.789 14.133
0.000 -3.578 14.133
Gd Er Al
3 3 18
Cartesian
0.000 0.000 0.000
0.000 0.000 9.246
0.000 0.000 30.454
0.000 0.000 4.628
0.000 0.000 21.194
0.000 0.000 25.826
-1.383 -0.798 14.017
0.000 -1.797 11.690
-1.556 0.898 11.690
-1.538 -0.888 18.764
-1.718 -0.992 23.489
0.000 -1.590 16.432
-1.377 0.795 16.432
1.383 -0.798 14.017
0.000 1.597 14.017
-1.382 -0.798 35.216
1.538 -0.888 18.764
0.000 1.776 18.764
1.556 0.898 11.690
1.377 0.795 16.432
1.718 -0.992 23.489
0.000 1.984 23.489
1.382 -0.798 35.216
0.000 1.595 35.216
```

Largest 8 diffraction maxima, by angle, 15° ≤ 2θ ≤ 90°:
2θ (°)  Rel. int.
17.0  53
23.6  100
26.8  97
28.8  92
37.6  96
38.2  45
39.8  93
48.5  43

# Sb2C4O
Theoretical powder XRD pattern, CuKα. Input: a cell relaxed with PBE.
Lines closer than 0.1° are merged.

Crystal structure
```
Sb2C4O
1.0
4.184 0.000 0.000
0.000 9.245 0.000
0.000 0.000 15.097
Sb C O
8 16 4
Cartesian
0.472 1.664 6.433
0.795 6.948 5.189
1.296 2.296 12.738
1.620 7.580 13.981
2.564 2.958 8.664
2.887 6.919 9.908
3.388 2.326 2.359
3.712 6.287 1.116
0.106 6.914 8.174
0.539 3.593 5.621
0.604 2.343 0.629
0.691 4.812 5.484
1.401 4.433 13.032
1.487 6.901 8.177
1.552 5.652 13.170
1.985 2.331 0.626
2.198 6.954 6.923
2.631 1.030 9.476
2.696 2.279 14.468
2.783 9.055 9.613
3.492 0.190 2.065
3.579 6.966 6.920
3.644 8.215 1.927
4.077 2.291 14.471
0.439 0.517 4.946
1.652 8.728 12.494
2.531 4.106 10.151
3.744 5.139 2.603
```

Largest 8 diffraction maxima, by angle, 15° ≤ 2θ ≤ 90°:
2θ (°)  Rel. int.
19.2  94
20.1  61
22.0  36
24.3  100
31.2  64
33.4  30
38.0  48
43.1  35

# Zn2MoN3
Theoretical powder XRD pattern, CuKα. Input: a cell relaxed with PBE.
Lines closer than 0.1° are merged.

Crystal structure
```
Zn2MoN3
1.0
4.963 -2.855 0.000
4.963 2.855 0.000
0.000 0.000 5.357
Zn Mo N
4 2 6
Cartesian
1.663 0.867 0.000
1.663 -0.867 2.678
8.262 0.867 0.000
8.262 -0.867 2.678
4.963 0.890 0.080
4.963 -0.890 2.758
3.381 1.775 0.624
4.963 0.984 3.453
6.544 1.775 0.624
3.381 -1.775 3.303
4.963 -0.984 0.775
6.544 -1.775 3.303
```

Largest 8 diffraction maxima, by angle, 15° ≤ 2θ ≤ 90°:
2θ (°)  Rel. int.
31.3  42
33.5  35
35.6  100
46.4  21
55.7  18
61.2  28
66.6  16
67.8  12

# In3SnI5
Theoretical powder XRD pattern, CuKα. Input: a cell relaxed with PBE.
Lines closer than 0.1° are merged.

Crystal structure
```
In3SnI5
1.0
6.414 -6.437 0.000
6.414 6.437 0.000
-3.284 0.000 17.535
In Sn I
12 4 20
Cartesian
3.951 5.932 13.151
2.612 1.534 8.289
5.593 3.291 4.384
2.173 1.355 13.132
0.970 -1.534 17.056
3.815 -1.355 4.365
5.728 1.355 13.170
8.573 1.534 0.479
7.370 -1.355 4.403
3.951 -3.291 13.151
6.931 -1.534 9.246
5.593 -5.932 4.384
2.319 1.845 1.506
0.677 -1.845 10.273
8.866 1.845 7.262
7.224 -1.845 16.029
-0.108 1.149 10.614
-0.280 1.473 15.718
2.426 1.908 4.585
4.063 3.573 10.756
1.534 -1.149 1.846
3.838 3.573 15.546
1.362 -1.473 6.951
5.379 0.893 1.805
0.784 -1.908 13.352
5.806 0.893 6.963
3.737 -0.893 10.572
8.759 1.908 4.183
4.164 -0.893 15.730
8.181 1.473 10.584
5.705 -3.573 1.988
8.009 1.149 15.689
5.480 -3.573 6.779
7.117 -1.908 12.950
9.823 -1.473 1.817
9.651 -1.149 6.921
```

Largest 8 diffraction maxima, by angle, 15° ≤ 2θ ≤ 90°:
2θ (°)  Rel. int.
26.0  30
26.1  18
27.5  84
27.7  17
30.6  32
30.9  23
31.2  100
44.3  19